No. 1
For NdTlPt, the PBE geometry in Alexandria gives the simulated powder XRD pattern in this record (Cu Kα, 1.54184 Å).
No peak broadening, texture or thermal motion is included.

Most intense lines, 15° ≤ 2θ ≤ 90°, by angle:
d [Å]	Position (°2θ)	intensity	index
2.853	31.4	100	1 1 1
2.720	32.9	42	0 0 3
2.440	36.8	100	1 1 2
2.300	39.2	19	1 0 3
2.153	42.0	59	2 0 0
1.688	54.3	42	2 0 3
1.572	58.7	12	2 1 3
1.522	60.8	20	2 2 0
1.439	64.8	16	1 1 5
1.343	70.1	20	3 1 1
1.328	70.9	19	2 2 3
1.292	73.3	27	3 1 2

```
data_NdTlPt
_cell_length_a 4.306
_cell_length_b 4.306
_cell_length_c 8.161
_cell_angle_alpha 90.00
_cell_angle_beta 90.00
_cell_angle_gamma 90.00
_symmetry_space_group_name_H-M 'P 4/n m m'
_symmetry_Int_Tables_number 129
loop_
_symmetry_equiv_pos_as_xyz
'x,y,z'
'-x,-y,-z'
'-y+1/2,x,z'
'y+1/2,-x,-z'
'-x+1/2,-y+1/2,z'
'x+1/2,y+1/2,-z'
'y,-x+1/2,z'
'-y,x+1/2,-z'
'x+1/2,-y,-z'
'-x+1/2,y,z'
'-y,-x,-z'
'y,x,z'
'-x,y+1/2,-z'
'x,-y+1/2,z'
'y+1/2,x+1/2,-z'
'-y+1/2,-x+1/2,z'
loop_
_atom_site_label
_atom_site_type_symbol
_atom_site_fract_x
_atom_site_fract_y
_atom_site_fract_z
Nd1 Nd 0.250 0.250 0.148
Tl1 Tl 0.250 0.750 0.500
Pt1 Pt 0.250 0.250 0.788
```

---

No. 2
For LiU2Au6, the PBE geometry in Alexandria gives the simulated powder XRD pattern in this record (Cu Kα, 1.54184 Å).
No peak broadening, texture or thermal motion is included.

Most intense lines, 15° ≤ 2θ ≤ 90°, by angle:
d [Å]	Position (°2θ)	intensity	index
3.650	24.4	7	4 0 0
2.951	30.3	11	0 0 1
2.736	32.7	6	2 0 1
2.433	36.9	100	6 0 0
2.417	37.2	80	3 1 1
1.877	48.5	18	3 3 1
1.715	53.4	29	0 4 1
1.476	63.0	7	0 0 2
1.405	66.6	18	9 3 0
1.402	66.7	30	6 4 1
1.262	75.3	26	3 3 2
1.217	78.6	12	12 0 0

```
data_LiU2Au6
_cell_length_a 14.598
_cell_length_b 8.431
_cell_length_c 2.951
_cell_angle_alpha 90.00
_cell_angle_beta 90.07
_cell_angle_gamma 90.00
_symmetry_space_group_name_H-M 'C 1 2/m 1'
_symmetry_Int_Tables_number 12
_symmetry_space_group_name_Hall '-C 2y'
loop_
_atom_site_label
_atom_site_type_symbol
_atom_site_fract_x
_atom_site_fract_y
_atom_site_fract_z
Li1 Li 0.000 0.000 0.000
U1 U 0.167 0.500 0.000
Au1 Au 0.000 0.329 0.500
Au2 Au 0.164 0.164 0.499
```

---

No. 3
For Pr3Lu, the PBE geometry in Alexandria gives the simulated powder XRD pattern in this record (Cu Kα, 1.54184 Å).
No peak broadening, texture or thermal motion is included.

Most intense lines, 15° ≤ 2θ ≤ 90°, by angle:
d [Å]	Position (°2θ)	intensity	index
3.206	27.8	24	2 0 0
2.936	30.5	25	0 0 2
2.814	31.8	100	2 0 1
2.165	41.7	16	2 0 2
1.851	49.2	20	2 2 0
1.670	55.0	21	2 0 3
1.566	59.0	23	2 2 2
1.546	59.8	16	4 0 1
1.240	76.9	8	4 0 3
1.187	81.0	14	4 2 1
1.150	84.2	8	2 2 4
1.103	88.7	6	2 0 5

```
data_Pr3Lu
_cell_length_a 7.4032
_cell_length_b 7.4032
_cell_length_c 5.8710
_cell_angle_alpha 90.00
_cell_angle_beta 90.00
_cell_angle_gamma 120.00
_symmetry_space_group_name_H-M 'P 63/m m c'
_symmetry_Int_Tables_number 194
_symmetry_space_group_name_Hall '-P 6c 2c'
loop_
_atom_site_label
_atom_site_type_symbol
_atom_site_fract_x
_atom_site_fract_y
_atom_site_fract_z
Pr1 Pr 0.1686 0.3372 0.2500
Lu1 Lu 0.3333 0.6667 0.7500
```

---

No. 4
For PmTl2In2Br6, the PBE geometry in Alexandria gives the simulated powder XRD pattern in this record (Cu Kα, 1.54184 Å).
No peak broadening, texture or thermal motion is included.

Most intense lines, 15° ≤ 2θ ≤ 90°, by angle:
d [Å]	Position (°2θ)	intensity	index
3.900	22.8	59	1 3 -1
3.635	24.5	57	2 0 0
3.196	27.9	100	1 3 -2
3.106	28.7	26	2 0 1
2.800	32.0	33	1 3 2
2.528	35.5	22	1 3 -3
2.515	35.7	20	2 0 2
2.375	37.9	32	0 6 1
2.231	40.4	30	1 3 3
2.223	40.6	28	3 3 -1
2.096	43.2	23	2 0 -4
1.932	47.0	25	2 6 1

```
data_PmTl2In2Br6
_cell_length_a 7.478
_cell_length_b 14.810
_cell_length_c 8.955
_cell_angle_alpha 90.00
_cell_angle_beta 103.54
_cell_angle_gamma 90.00
_symmetry_space_group_name_H-M 'C 1 2/m 1'
_symmetry_Int_Tables_number 12
_symmetry_space_group_name_Hall '-C 2y'
loop_
_atom_site_label
_atom_site_type_symbol
_atom_site_fract_x
_atom_site_fract_y
_atom_site_fract_z
Pm1 Pm 0.000 0.000 0.000
Tl1 Tl 0.000 0.332 0.000
In1 In 0.000 0.260 0.500
Br1 Br 0.080 0.140 0.799
Br2 Br 0.130 0.500 0.814
```

---

No. 5
For Li2Ac2PdO6, the PBE geometry in Alexandria gives the simulated powder XRD pattern in this record (Cu Kα, 1.54184 Å).
No peak broadening, texture or thermal motion is included.

Most intense lines, 15° ≤ 2θ ≤ 90°, by angle:
d [Å]	Position (°2θ)	intensity	index
4.713	18.8	39	1 0 1
4.141	21.5	63	0 1 2
2.994	29.8	75	1 0 4
2.866	31.2	100	1 1 0
2.569	34.9	44	0 1 5
2.357	38.2	34	2 0 2
2.070	43.7	45	0 2 4
1.913	47.5	21	2 0 5
1.678	54.7	30	2 1 4
1.655	55.5	20	3 0 0
1.591	58.0	24	1 2 5
1.442	64.7	27	1 1 9

```
data_Li2Ac2PdO6
_cell_length_a 5.7326
_cell_length_b 5.7326
_cell_length_c 15.0109
_cell_angle_alpha 90.00
_cell_angle_beta 90.00
_cell_angle_gamma 120.00
_symmetry_space_group_name_H-M 'R -3 m'
_symmetry_Int_Tables_number 166
_symmetry_space_group_name_Hall '-R 3 2"'
loop_
_atom_site_label
_atom_site_type_symbol
_atom_site_fract_x
_atom_site_fract_y
_atom_site_fract_z
Li1 Li 0.0000 0.0000 0.0725
Ac1 Ac 0.0000 0.0000 0.2744
Pd1 Pd 0.0000 0.0000 0.5000
O1 O 0.0233 0.5116 0.2539
```

---

No. 6
For BaSr3Pd, the PBE geometry in Alexandria gives the simulated powder XRD pattern in this record (Cu Kα, 1.54184 Å).
No peak broadening, texture or thermal motion is included.

Most intense lines, 15° ≤ 2θ ≤ 90°, by angle:
d [Å]	Position (°2θ)	intensity	index
3.626	24.5	42	0 2 0
3.372	26.4	100	1 0 2
3.358	26.5	100	1 1 -2
3.338	26.7	97	1 -2 2
2.634	34.0	42	2 1 0
2.619	34.2	41	-1 2 2
2.603	34.5	22	2 -3 0
2.185	41.3	95	3 -2 2
2.049	44.2	25	1 2 2
2.038	44.5	24	1 3 -2
2.026	44.7	24	1 -4 2
1.834	49.7	25	2 -1 4

```
data_BaSr3Pd
_cell_length_a 7.570
_cell_length_b 8.413
_cell_length_c 8.743
_cell_angle_alpha 104.65
_cell_angle_beta 90.08
_cell_angle_gamma 116.03
_symmetry_space_group_name_H-M 'P 1'
_symmetry_Int_Tables_number 1
_symmetry_space_group_name_Hall 'P 1'
loop_
_atom_site_label
_atom_site_type_symbol
_atom_site_fract_x
_atom_site_fract_y
_atom_site_fract_z
Ba1 Ba 0.000 0.000 0.000
Ba2 Ba 0.497 0.999 0.744
Sr1 Sr 0.012 0.002 0.495
Sr2 Sr 0.086 0.498 0.375
Sr3 Sr 0.088 0.507 0.867
Sr4 Sr 0.497 0.005 0.249
Sr5 Sr 0.578 0.500 0.130
Sr6 Sr 0.592 0.501 0.616
Pd1 Pd 0.042 0.747 0.679
Pd2 Pd 0.301 0.255 0.314
```

---

No. 7
For Er4Zn2Ga, the PBE geometry in Alexandria gives the simulated powder XRD pattern in this record (Cu Kα, 1.54184 Å).
No peak broadening, texture or thermal motion is included.

Most intense lines, 15° ≤ 2θ ≤ 90°, by angle:
d [Å]	Position (°2θ)	intensity	index
3.607	24.7	21	2 1 1
3.106	28.7	12	2 0 2
2.799	32.0	100	3 0 1
2.761	32.4	48	1 0 3
2.365	38.1	35	3 2 1
2.356	38.2	34	3 1 2
2.343	38.4	35	2 1 3
1.803	50.6	25	4 2 2
1.736	52.7	20	4 3 1
1.727	53.0	14	4 1 3
1.720	53.3	13	3 1 4
1.436	65.0	16	6 1 1

```
data_Er4Zn2Ga
_cell_length_a 8.858
_cell_length_b 8.858
_cell_length_c 8.716
_cell_angle_alpha 90.00
_cell_angle_beta 90.00
_cell_angle_gamma 90.00
_symmetry_space_group_name_H-M 'I -4 2 d'
_symmetry_Int_Tables_number 122
_symmetry_space_group_name_Hall 'I -4 2bw'
loop_
_atom_site_label
_atom_site_type_symbol
_atom_site_fract_x
_atom_site_fract_y
_atom_site_fract_z
Er1 Er 0.070 0.178 0.302
Zn1 Zn 0.121 0.250 0.625
Ga1 Ga 0.000 0.000 0.000
```

---

No. 8
For Nd3Sn3Pt2, the PBE geometry in Alexandria gives the simulated powder XRD pattern in this record (Cu Kα, 1.54184 Å).
No peak broadening, texture or thermal motion is included.

Most intense lines, 15° ≤ 2θ ≤ 90°, by angle:
d [Å]	Position (°2θ)	intensity	index
4.940	18.0	22	1 0 1
2.891	30.9	97	2 4 0
2.808	31.9	72	1 1 2
2.619	34.2	24	0 6 0
2.609	34.4	91	2 4 1
2.576	34.8	48	3 0 1
2.506	35.8	91	1 3 2
2.310	39.0	100	1 4 2
2.013	45.0	37	4 0 1
1.765	51.8	30	1 7 2
1.655	55.5	24	2 4 3
1.515	61.2	43	0 0 4

```
data_Nd3Sn3Pt2
_cell_length_a 8.538
_cell_length_b 15.714
_cell_length_c 6.056
_cell_angle_alpha 90.00
_cell_angle_beta 90.00
_cell_angle_gamma 90.00
_symmetry_space_group_name_H-M 'P n m a'
_symmetry_Int_Tables_number 62
_symmetry_space_group_name_Hall '-P 2ac 2n'
loop_
_atom_site_label
_atom_site_type_symbol
_atom_site_fract_x
_atom_site_fract_y
_atom_site_fract_z
Nd1 Nd 0.033 0.111 0.120
Nd2 Nd 0.173 0.250 0.635
Sn1 Sn 0.181 0.750 0.625
Sn2 Sn 0.192 0.036 0.608
Pt1 Pt 0.091 0.612 0.373
```

---

No. 9
For Cu4Sn2Se5, the PBE geometry in Alexandria gives the simulated powder XRD pattern in this record (Cu Kα, 1.54184 Å).
No peak broadening, texture or thermal motion is included.

Most intense lines, 15° ≤ 2θ ≤ 90°, by angle:
d [Å]	Position (°2θ)	intensity	index
3.487	25.5	19	1 0 1
3.374	26.4	33	1 0 4
3.075	29.0	68	0 1 8
2.873	31.1	21	0 0 18
2.805	31.9	86	0 1 11
2.373	37.9	40	1 0 16
2.018	44.9	100	1 1 0
1.951	46.6	46	1 0 22
1.651	55.7	24	1 1 18
1.638	56.1	17	2 0 11
1.165	82.9	17	3 0 0
1.152	84.0	16	2 1 22

```
data_Cu4Sn2Se5
_cell_length_a 4.0359
_cell_length_b 4.0359
_cell_length_c 51.7221
_cell_angle_alpha 90.00
_cell_angle_beta 90.00
_cell_angle_gamma 120.00
_symmetry_space_group_name_H-M 'R -3 m'
_symmetry_Int_Tables_number 166
_symmetry_space_group_name_Hall '-R 3 2"'
loop_
_atom_site_label
_atom_site_type_symbol
_atom_site_fract_x
_atom_site_fract_y
_atom_site_fract_z
Cu1 Cu 0.0000 0.0000 0.0885
Cu2 Cu 0.0000 0.0000 0.1839
Sn1 Sn 0.0000 0.0000 0.3692
Se1 Se 0.0000 0.0000 0.0000
Se2 Se 0.0000 0.0000 0.1350
Se3 Se 0.0000 0.0000 0.2606
```

---

No. 10
For Mn2SiIrS, the PBE geometry in Alexandria gives the simulated powder XRD pattern in this record (Cu Kα, 1.54184 Å).
No peak broadening, texture or thermal motion is included.

Most intense lines, 15° ≤ 2θ ≤ 90°, by angle:
d [Å]	Position (°2θ)	intensity	index
3.794	23.4	65	0 0 2
2.996	29.8	37	0 1 1
2.716	33.0	29	1 0 1
2.473	36.3	78	0 1 2
2.309	39.0	64	1 0 2
2.171	41.6	100	1 1 0
2.087	43.4	29	1 1 1
1.999	45.4	48	0 1 3
1.909	47.6	42	1 0 3
1.884	48.3	38	1 1 2
1.428	65.3	22	1 1 4
1.332	70.7	22	1 2 2

```
data_Mn2SiIrS
_cell_length_a 2.909
_cell_length_b 3.261
_cell_length_c 7.588
_cell_angle_alpha 90.00
_cell_angle_beta 90.00
_cell_angle_gamma 90.00
_symmetry_space_group_name_H-M 'P m m 2'
_symmetry_Int_Tables_number 25
_symmetry_space_group_name_Hall 'P 2 -2'
loop_
_atom_site_label
_atom_site_type_symbol
_atom_site_fract_x
_atom_site_fract_y
_atom_site_fract_z
Mn1 Mn 0.000 0.000 0.000
Mn2 Mn 0.500 0.500 0.210
Si1 Si 0.000 0.000 0.635
Ir1 Ir 0.500 0.500 0.780
S1 S 0.000 0.000 0.333
```

---

No. 11
For Rb2Sb4Au3, the PBE geometry in Alexandria gives the simulated powder XRD pattern in this record (Cu Kα, 1.54184 Å).
No peak broadening, texture or thermal motion is included.

Most intense lines, 15° ≤ 2θ ≤ 90°, by angle:
d [Å]	Position (°2θ)	intensity	index
5.834	15.2	64	1 1 1
3.263	27.3	33	2 2 0
3.144	28.4	25	0 4 0
2.917	30.6	69	2 2 2
2.831	31.6	31	0 4 2
2.804	31.9	100	1 3 3
2.476	36.3	47	2 0 4
2.304	39.1	59	2 2 4
1.945	46.7	37	3 3 3
1.909	47.6	25	4 0 0
1.838	49.6	42	2 6 0
1.806	50.5	23	2 2 6

```
data_Rb2Sb4Au3
_cell_length_a 7.635
_cell_length_b 12.578
_cell_length_c 13.015
_cell_angle_alpha 90.00
_cell_angle_beta 90.00
_cell_angle_gamma 90.00
_symmetry_space_group_name_H-M 'F m m m'
_symmetry_Int_Tables_number 69
_symmetry_space_group_name_Hall '-F 2 2'
loop_
_atom_site_label
_atom_site_type_symbol
_atom_site_fract_x
_atom_site_fract_y
_atom_site_fract_z
Rb1 Rb 0.000 0.000 0.144
Sb1 Sb 0.000 0.175 0.370
Au1 Au 0.000 0.000 0.500
Au2 Au 0.250 0.250 0.000
```